1.
This entry pairs a crystal structure of Nd3Mg4Sn2 with its simulated XRD peak list. Radiation: Cu Ka. Structure: DFT lattice parameters and positions (GGA-PBE).
Peak positions follow from Bragg's law for the DFT cell and can differ from measured ones.

The 6 most intense peaks (10° ≤ 2θ ≤ 80°), in order of falling intensity:
32.69°, intensity 100; 29.92°, intensity 77; 25.90°, intensity 33; 22.39°, intensity 32; 39.98°, intensity 30; 39.29°, intensity 28

Atomic structure:
```
Nd3Mg4Sn2
1.0
7.943 0.000 0.000
-3.972 6.879 0.000
0.000 0.000 4.530
Nd Mg Sn
3 4 2
Direct
0.077 0.337 0.000 Nd
0.259 0.923 0.000 Nd
0.663 0.741 0.000 Nd
0.000 0.000 0.500 Mg
0.420 0.330 0.500 Mg
0.670 0.090 0.500 Mg
0.910 0.580 0.500 Mg
0.333 0.667 0.500 Sn
0.667 0.333 0.000 Sn
```

***

2.
This entry pairs a crystal structure of NdTm2Mg4Tl2 with its simulated XRD peak list. Radiation: Cu Ka. Structure: DFT lattice parameters and positions (GGA-PBE).
Peak positions follow from Bragg's law for the DFT cell and can differ from measured ones.

The 6 most intense peaks (10° ≤ 2θ ≤ 80°), in order of falling intensity:
30.26°, intensity 100; 33.47°, intensity 92; 13.55°, intensity 60; 30.55°, intensity 57; 13.34°, intensity 50; 33.11°, intensity 40

Atomic structure:
```
NdTm2Mg4Tl2
1.0
4.672 0.000 0.000
0.000 6.637 3.753
0.000 -6.637 3.753
Nd Tm Mg Tl
1 2 4 2
Direct
0.000 0.000 0.000 Nd
0.000 0.430 0.867 Tm
0.000 0.867 0.430 Tm
0.000 0.443 0.443 Mg
0.500 0.193 0.434 Mg
0.500 0.434 0.193 Mg
0.500 0.677 0.677 Mg
0.500 0.100 0.759 Tl
0.500 0.759 0.100 Tl
```

***

3.
This entry pairs a crystal structure of NdY2Mg4Tl2 with its simulated XRD peak list. Radiation: Cu Ka. Structure: DFT lattice parameters and positions (GGA-PBE).
Peak positions follow from Bragg's law for the DFT cell and can differ from measured ones.

The 6 most intense peaks (10° ≤ 2θ ≤ 80°), in order of falling intensity:
30.13°, intensity 100; 13.44°, intensity 76; 33.24°, intensity 67; 30.33°, intensity 40; 23.22°, intensity 38; 32.99°, intensity 33

Atomic structure:
```
NdY2Mg4Tl2
1.0
4.685 0.000 0.000
0.000 6.663 3.791
0.000 -6.663 3.791
Nd Y Mg Tl
1 2 4 2
Direct
0.000 0.000 0.000 Nd
0.000 0.430 0.863 Y
0.000 0.863 0.430 Y
0.000 0.438 0.438 Mg
0.500 0.190 0.432 Mg
0.500 0.432 0.190 Mg
0.500 0.675 0.675 Mg
0.500 0.099 0.760 Tl
0.500 0.760 0.099 Tl
```

***

4.
This entry pairs a crystal structure of MgNi3 with its simulated XRD peak list. Radiation: Cu Ka. Structure: DFT lattice parameters and positions (GGA-PBE).
Peak positions follow from Bragg's law for the DFT cell and can differ from measured ones.

The 6 most intense peaks (10° ≤ 2θ ≤ 80°), in order of falling intensity:
44.92°, intensity 100; 47.00°, intensity 91; 23.00°, intensity 62; 44.81°, intensity 50; 73.52°, intensity 31; 38.00°, intensity 19

Atomic structure:
```
MgNi3
1.0
4.731 0.000 0.000
0.000 4.731 0.000
0.000 0.000 6.712
Mg Ni
3 9
Direct
0.000 0.000 0.000 Mg
0.000 0.500 0.265 Mg
0.500 0.000 0.735 Mg
0.000 0.252 0.624 Ni
0.000 0.748 0.624 Ni
0.252 0.000 0.376 Ni
0.252 0.500 0.872 Ni
0.500 0.252 0.128 Ni
0.500 0.500 0.500 Ni
0.500 0.748 0.128 Ni
0.748 0.000 0.376 Ni
0.748 0.500 0.872 Ni
```